# 1
Theoretical X-ray powder pattern
Compound: Tb2Er5Tl
Radiation: copper Kα
Structure: a DFT-relaxed cell (PBE, Alexandria)
Lines closer than 0.1° are merged.

Top 10 peaks for 10 to 90 degrees two-theta, by intensity:
Position (°2θ)  I_rel
31.69  100.0
31.25  97.9
35.82  69.7
53.08  41.7
37.83  29.1
62.06  27.9
61.27  24.5
52.15  12.7
66.21  11.4
64.50  11.2

Crystal structure
```
Tb2Er5Tl
1.0
9.5120 0.0000 0.0000
0.0000 14.3348 0.0000
0.0000 0.0000 3.5080
Tb Er Tl
4 10 2
Cartesian
0.0000 3.3050 0.0000
0.0000 11.0298 0.0000
4.7560 3.8624 0.0000
4.7560 10.4724 0.0000
0.0000 0.0000 0.0000
2.2189 5.4089 1.7540
2.2189 8.9258 1.7540
2.5371 1.7585 1.7540
2.5371 12.5763 1.7540
4.7560 7.1674 0.0000
6.9749 1.7585 1.7540
6.9749 12.5763 1.7540
7.2931 5.4089 1.7540
7.2931 8.9258 1.7540
0.0000 7.1674 0.0000
4.7560 0.0000 0.0000
```

=====

# 2
Theoretical X-ray powder pattern
Compound: Pm8ErSb6
Radiation: copper Kα
Structure: a DFT-relaxed cell (PBE, Alexandria)
Lines closer than 0.1° are merged.

Top 10 peaks for 10 to 90 degrees two-theta, by intensity:
Position (°2θ)  I_rel
30.30  100.0
38.37  57.7
24.24  35.9
49.65  25.0
64.44  22.6
38.50  19.7
47.98  18.5
69.42  16.6
67.67  12.1
82.18  11.4

Crystal structure
```
Pm8ErSb6
1.0
4.0635 2.3461 8.5760
-4.0635 2.3461 8.5760
0.0000 -4.6922 8.5760
Pm Er Sb
8 1 6
Cartesian
-1.3867 -2.3775 9.7442
0.0000 0.0000 4.2905
-2.7524 0.0122 15.9838
-1.3656 2.3897 9.7442
1.3656 -2.3897 15.9838
2.7524 -0.0122 9.7442
0.0000 0.0000 21.4374
1.3867 2.3775 15.9838
0.0000 0.0000 12.8640
-2.6544 0.0080 11.1671
-1.3341 -2.2948 14.5608
1.3203 -2.3028 11.1671
-1.3203 2.3028 14.5608
1.3341 2.2948 11.1671
2.6544 -0.0080 14.5608
```

=====

# 3
Theoretical X-ray powder pattern
Compound: YGa4NiRu2
Radiation: copper Kα
Structure: a DFT-relaxed cell (PBE, Alexandria)
Lines closer than 0.1° are merged.

Top 10 peaks for 10 to 90 degrees two-theta, by intensity:
Position (°2θ)  I_rel
42.88  100.0
37.60  75.2
46.64  32.2
10.48  29.2
30.17  23.6
58.33  20.1
75.07  18.5
78.57  15.6
81.25  11.9
65.21  11.4

Crystal structure
```
YGa4NiRu2
1.0
2.1088 1.2175 8.4407
-2.1088 1.2175 8.4407
0.0000 -2.4351 8.4407
Y Ga Ni Ru
1 4 1 2
Cartesian
0.0000 0.0000 0.0000
0.0000 0.0000 3.3286
0.0000 0.0000 10.1351
0.0000 0.0000 15.1871
0.0000 0.0000 21.9937
0.0000 0.0000 12.6611
0.0000 0.0000 5.8992
0.0000 0.0000 19.4230
```

=====

Copy entry 2 word for word.
Theoretical X-ray powder pattern
Compound: Pm8ErSb6
Radiation: copper Kα
Structure: a DFT-relaxed cell (PBE, Alexandria)
Lines closer than 0.1° are merged.

Top 10 peaks for 10 to 90 degrees two-theta, by intensity:
Position (°2θ)  I_rel
30.30  100.0
38.37  57.7
24.24  35.9
49.65  25.0
64.44  22.6
38.50  19.7
47.98  18.5
69.42  16.6
67.67  12.1
82.18  11.4

Crystal structure
```
Pm8ErSb6
1.0
4.0635 2.3461 8.5760
-4.0635 2.3461 8.5760
0.0000 -4.6922 8.5760
Pm Er Sb
8 1 6
Cartesian
-1.3867 -2.3775 9.7442
0.0000 0.0000 4.2905
-2.7524 0.0122 15.9838
-1.3656 2.3897 9.7442
1.3656 -2.3897 15.9838
2.7524 -0.0122 9.7442
0.0000 0.0000 21.4374
1.3867 2.3775 15.9838
0.0000 0.0000 12.8640
-2.6544 0.0080 11.1671
-1.3341 -2.2948 14.5608
1.3203 -2.3028 11.1671
-1.3203 2.3028 14.5608
1.3341 2.2948 11.1671
2.6544 -0.0080 14.5608
```

=====

Repeat the second record exactly.
Theoretical X-ray powder pattern
Compound: Pm8ErSb6
Radiation: copper Kα
Structure: a DFT-relaxed cell (PBE, Alexandria)
Lines closer than 0.1° are merged.

Top 10 peaks for 10 to 90 degrees two-theta, by intensity:
Position (°2θ)  I_rel
30.30  100.0
38.37  57.7
24.24  35.9
49.65  25.0
64.44  22.6
38.50  19.7
47.98  18.5
69.42  16.6
67.67  12.1
82.18  11.4

Crystal structure
```
Pm8ErSb6
1.0
4.0635 2.3461 8.5760
-4.0635 2.3461 8.5760
0.0000 -4.6922 8.5760
Pm Er Sb
8 1 6
Cartesian
-1.3867 -2.3775 9.7442
0.0000 0.0000 4.2905
-2.7524 0.0122 15.9838
-1.3656 2.3897 9.7442
1.3656 -2.3897 15.9838
2.7524 -0.0122 9.7442
0.0000 0.0000 21.4374
1.3867 2.3775 15.9838
0.0000 0.0000 12.8640
-2.6544 0.0080 11.1671
-1.3341 -2.2948 14.5608
1.3203 -2.3028 11.1671
-1.3203 2.3028 14.5608
1.3341 2.2948 11.1671
2.6544 -0.0080 14.5608
```